Theoretical powder diffraction line list
Compound: Pm5Cu2Pd
Radiation: Cu Kα, 1.54184 Å
Structure: DFT lattice parameters and positions (GGA-PBE)
Intensities are scaled so that the largest is 100.

Unit cell a=9.4566 b=9.4566 c=9.4566 alpha=135.05 beta=135.05 gamma=65.45
Sites, in units of the cell vectors:
Pm 0.0000 0.0000 0.0000
Pm 0.0196 0.5196 0.8387
Pm 0.1810 0.0196 0.5000
Pm 0.3190 0.8190 0.8387
Pm 0.4804 0.3190 0.5000
Pm 0.5000 0.5000 0.0000
Pm 0.5196 0.6810 0.5000
Pm 0.6810 0.1810 0.1613
Pm 0.8190 0.9804 0.5000
Pm 0.9804 0.4804 0.1613
Cu 0.1204 0.3796 0.5000
Cu 0.3796 0.8796 0.2592
Cu 0.6204 0.1204 0.7408
Cu 0.8796 0.6204 0.5000
Pd 0.2500 0.2500 0.0000
Pd 0.7500 0.7500 0.0000

Main lines, low angle first (5 to 70 degrees two-theta):
2θ (°)  d (Å)  I (rel.)
28.2  3.168  14
28.4  3.139  24
32.4  2.761  100
33.5  2.675  47
33.8  2.652  18
35.1  2.556  14
39.4  2.286  41
49.0  1.860  13
55.2  1.665  17
59.0  1.566  16

---

Theoretical powder diffraction line list
Compound: PmPrCuPd
Radiation: Cu Kα, 1.54184 Å
Structure: DFT lattice parameters and positions (GGA-PBE)
Intensities are scaled so that the largest is 100.

Unit cell a=4.6137 b=5.7755 c=5.7755 alpha=39.42 beta=90.00 gamma=90.00
Sites, in units of the cell vectors:
Pm 0.0000 0.0000 0.0000
Pr 0.5000 0.2766 0.2766
Cu 0.0000 0.7122 0.7122
Pd 0.5000 0.5612 0.5612

Main lines, low angle first (5 to 70 degrees two-theta):
2θ (°)  d (Å)  I (rel.)
25.3  3.518  18
31.2  2.871  100
32.9  2.719  26
33.8  2.654  33
38.4  2.342  21
39.0  2.307  32
39.2  2.300  60
46.6  1.948  19
52.0  1.758  20
52.6  1.741  19

---

Theoretical powder diffraction line list
Compound: Pm2CuSb3Pd4
Radiation: Cu Kα, 1.54184 Å
Structure: DFT lattice parameters and positions (GGA-PBE)
Intensities are scaled so that the largest is 100.

Unit cell a=4.4950 b=4.4950 c=10.5990 alpha=90.00 beta=90.00 gamma=90.00
Sites, in units of the cell vectors:
Pm 0.0000 0.5000 0.2495
Pm 0.5000 0.0000 0.7505
Cu 0.0000 0.0000 0.5000
Sb 0.0000 0.5000 0.8618
Sb 0.5000 0.0000 0.1382
Sb 0.5000 0.5000 0.5000
Pd 0.0000 0.0000 0.0000
Pd 0.0000 0.5000 0.6202
Pd 0.5000 0.0000 0.3798
Pd 0.5000 0.5000 0.0000

Main lines, low angle first (5 to 70 degrees two-theta):
2θ (°)  d (Å)  I (rel.)
28.1  3.178  17
32.2  2.778  68
32.9  2.726  100
40.1  2.247  73
44.5  2.035  25
47.4  1.917  28
52.4  1.747  34
58.0  1.589  24
63.8  1.459  23
68.3  1.373  23

---

Theoretical powder diffraction line list
Compound: Pm3CuSi6Pd2
Radiation: Cu Kα, 1.54184 Å
Structure: DFT lattice parameters and positions (GGA-PBE)
Intensities are scaled so that the largest is 100.

Unit cell a=5.7528 b=5.7528 c=8.1634 alpha=90.00 beta=90.00 gamma=120.00
Sites, in units of the cell vectors:
Pm 0.0000 0.0000 0.0000
Pm 0.3333 0.6667 0.6177
Pm 0.6667 0.3333 0.3823
Cu 0.0000 0.0000 0.5000
Si 0.1904 0.3807 0.2857
Si 0.1904 0.8096 0.2857
Si 0.3807 0.1904 0.7143
Si 0.6193 0.8096 0.2857
Si 0.8096 0.1904 0.7143
Si 0.8096 0.6193 0.7143
Pd 0.3333 0.6667 0.0337
Pd 0.6667 0.3333 0.9663

Main lines, low angle first (5 to 70 degrees two-theta):
2θ (°)  d (Å)  I (rel.)
28.3  3.157  56
31.1  2.876  100
32.9  2.721  18
37.7  2.384  28
38.3  2.351  57
42.5  2.126  33
45.9  1.977  24
53.6  1.710  20
55.3  1.661  18
64.8  1.438  19

---

Theoretical powder diffraction line list
Compound: PrCu4Pd8
Radiation: Cu Kα, 1.54184 Å
Structure: DFT lattice parameters and positions (GGA-PBE)
Intensities are scaled so that the largest is 100.

Unit cell a=6.8408 b=6.8408 c=6.8408 alpha=97.77 beta=97.77 gamma=136.85
Sites, in units of the cell vectors:
Pr 0.0000 0.0000 0.0000
Cu 0.0000 0.0000 0.5000
Cu 0.0000 0.5000 0.0000
Cu 0.5000 0.0000 0.0000
Cu 0.5000 0.5000 0.5000
Pd 0.0000 0.3489 0.3489
Pd 0.0000 0.6511 0.6511
Pd 0.2804 0.5000 0.7804
Pd 0.3489 0.0000 0.3489
Pd 0.5000 0.2804 0.7804
Pd 0.5000 0.7196 0.2196
Pd 0.6511 0.0000 0.6511
Pd 0.7196 0.5000 0.2196

Main lines, low angle first (5 to 70 degrees two-theta):
2θ (°)  d (Å)  I (rel.)
28.4  3.142  8
34.8  2.576  46
35.7  2.516  26
40.1  2.249  50
40.3  2.235  100
41.1  2.196  45
45.1  2.012  18
45.3  2.002  25
46.0  1.973  43
67.3  1.392  22

---

Theoretical powder diffraction line list
Compound: PrCu10Pd2
Radiation: Cu Kα, 1.54184 Å
Structure: DFT lattice parameters and positions (GGA-PBE)
Intensities are scaled so that the largest is 100.

Unit cell a=8.5465 b=6.6657 c=6.4802 alpha=81.09 beta=50.40 gamma=48.51
Sites, in units of the cell vectors:
Pr 0.0000 0.0000 0.0000
Cu 0.0000 0.5000 0.0000
Cu 0.0033 0.3554 0.6446
Cu 0.2717 0.4914 0.5086
Cu 0.3554 0.0033 0.9967
Cu 0.4914 0.2717 0.7283
Cu 0.5000 0.0000 0.5000
Cu 0.5086 0.7283 0.2717
Cu 0.6446 0.9967 0.0033
Cu 0.7283 0.5086 0.4914
Cu 0.9967 0.6446 0.3554
Pd 0.0000 0.0000 0.5000
Pd 0.5000 0.5000 0.0000

Main lines, low angle first (5 to 70 degrees two-theta):
2θ (°)  d (Å)  I (rel.)
28.8  3.100  16
33.5  2.674  14
36.0  2.494  41
40.8  2.212  100
41.4  2.182  46
42.3  2.135  72
42.5  2.127  43
45.9  1.979  30
46.6  1.951  27
46.9  1.936  18

---

Theoretical powder diffraction line list
Compound: Pr2Cu2Pd3
Radiation: Cu Kα, 1.54184 Å
Structure: DFT lattice parameters and positions (GGA-PBE)
Intensities are scaled so that the largest is 100.

Unit cell a=9.6957 b=9.6957 c=7.2821 alpha=90.00 beta=90.00 gamma=155.38
Sites, in units of the cell vectors:
Pr 0.0635 0.9365 0.7500
Pr 0.1597 0.8403 0.2500
Pr 0.8403 0.1597 0.7500
Pr 0.9365 0.0635 0.2500
Cu 0.3035 0.6965 0.0525
Cu 0.3035 0.6965 0.4475
Cu 0.6965 0.3035 0.5525
Cu 0.6965 0.3035 0.9475
Pd 0.2213 0.7787 0.7500
Pd 0.4348 0.5652 0.5632
Pd 0.4348 0.5652 0.9368
Pd 0.5652 0.4348 0.0632
Pd 0.5652 0.4348 0.4368
Pd 0.7787 0.2213 0.2500

Main lines, low angle first (5 to 70 degrees two-theta):
2θ (°)  d (Å)  I (rel.)
30.9  2.897  18
33.1  2.705  100
34.4  2.608  95
35.8  2.508  17
38.0  2.368  26
41.8  2.160  42
43.8  2.067  40
45.7  1.987  14
47.3  1.923  36
62.2  1.494  24

---

Theoretical powder diffraction line list
Compound: Pr2Cu2Pd5
Radiation: Cu Kα, 1.54184 Å
Structure: DFT lattice parameters and positions (GGA-PBE)
Intensities are scaled so that the largest is 100.

Unit cell a=4.2430 b=4.2430 c=9.2552 alpha=90.00 beta=90.00 gamma=90.00
Sites, in units of the cell vectors:
Pr 0.0000 0.0000 0.0000
Pr 0.0000 0.0000 0.5000
Cu 0.5000 0.5000 0.1235
Cu 0.5000 0.5000 0.8765
Pd 0.0000 0.5000 0.2731
Pd 0.0000 0.5000 0.7269
Pd 0.5000 0.0000 0.2731
Pd 0.5000 0.0000 0.7269
Pd 0.5000 0.5000 0.5000

Main lines, low angle first (5 to 70 degrees two-theta):
2θ (°)  d (Å)  I (rel.)
28.5  3.127  8
35.7  2.517  100
36.0  2.495  6
38.9  2.314  11
42.0  2.151  14
42.6  2.121  43
44.6  2.031  8
59.1  1.564  13
61.8  1.500  14
68.4  1.372  10